Record 1
CeSi4Ni9: simulated XRD peak list (Cu Kα X-rays), based on a structure optimized by DFT (GGA-PBE).
Peak positions follow from Bragg's law for the DFT cell and can differ from measured ones.

Main lines, in order of falling intensity (2θ = 10–90°):
(hkl)	d/Å	intensity
3 1 2	2.272	100
2 1 5	1.913	39
3 2 3	1.886	32
2 0 4	2.307	21
4 1 1	1.873	21
2 2 2	2.491	21
0 0 4	2.855	20
3 1 0	2.476	16
1 1 4	2.538	14
4 2 0	1.751	14

Cell and atoms:
Lattice parameters (Å, degrees): 7.830 7.830 11.421 90.00 90.00 90.00
Space group I4/mcm (No. 140)
Symmetry-distinct sites (fractional):
Ce 0.000 0.000 0.250 x4
Si 0.171 0.329 0.117 x16
Ni 0.000 0.500 0.000 x4
Ni 0.069 0.204 0.500 x16
Ni 0.132 0.368 0.314 x16

***

Record 2
PuB4Ir4: simulated XRD peak list (Cu Kα X-rays), based on a structure optimized by DFT (GGA-PBE).
Peak positions follow from Bragg's law for the DFT cell and can differ from measured ones.

Main lines, in order of falling intensity (2θ = 10–90°):
(hkl)	d/Å	intensity
1 2 1	2.588	100
3 1 0	2.428	66
4 3 1	1.431	24
2 2 1	2.235	21
1 1 1	3.187	18
1 0 2	1.907	18
2 4 0	1.717	16
3 0 2	1.560	12
3 2 1	1.873	11
1 3 1	2.067	11

Cell and atoms:
Lattice parameters (Å, degrees): 7.678 7.678 3.936 90.00 90.00 90.00
Space group P4_2/n (No. 86, origin choice 2)
Symmetry-distinct sites (fractional):
Pu 0.250 0.250 0.250 x2
B 0.024 0.594 0.137 x8
Ir 0.088 0.859 0.138 x8

***

Record 3
Ti7O13: simulated XRD peak list (Cu Kα X-rays), based on a structure optimized by DFT (GGA-PBE).
Peak positions follow from Bragg's law for the DFT cell and can differ from measured ones.

Main lines, in order of falling intensity (2θ = 10–90°):
(hkl)	d/Å	intensity
1 0 3	3.046	100
1 2 0	3.389	70
1 2 -1	3.168	69
3 2 -2	1.719	55
1 0 2	3.828	43
1 0 -4	2.524	38
-1 2 1	2.500	34
2 0 -1	2.592	32
0 1 5	2.223	32
2 4 -1	1.654	31

Cell and atoms:
Lattice parameters (Å, degrees): 5.592 7.191 11.408 83.96 89.28 71.33
Space group P-1 (No. 2)
Symmetry-distinct sites (fractional):
Ti 0.000 0.000 0.000 x1
Ti 0.000 0.500 0.000 x1
Ti 0.206 0.289 0.552 x2
Ti 0.206 0.790 0.556 x2
Ti 0.215 0.486 0.293 x2
Ti 0.217 0.983 0.293 x2
Ti 0.386 0.764 0.856 x2
Ti 0.390 0.264 0.853 x2
O 0.032 0.926 0.832 x2
O 0.057 0.068 0.592 x2
O 0.115 0.231 0.949 x2
O 0.127 0.236 0.376 x2
O 0.148 0.366 0.706 x2
O 0.198 0.552 0.473 x2
O 0.243 0.405 0.140 x2
O 0.281 0.529 0.899 x2
O 0.319 0.713 0.251 x2
O 0.364 0.831 0.014 x2
O 0.425 0.687 0.683 x2
O 0.448 0.844 0.445 x2
O 0.498 0.005 0.204 x2

***

Record 4
LiTiCl3: simulated XRD peak list (Cu Kα X-rays), based on a structure optimized by DFT (GGA-PBE).
Peak positions follow from Bragg's law for the DFT cell and can differ from measured ones.

Main lines, in order of falling intensity (2θ = 10–90°):
(hkl)	d/Å	intensity
1 0 0	5.059	100
2 0 0	2.530	63
0 0 1	4.860	58
2 0 2	1.752	36
0 0 2	2.430	27
2 0 1	2.244	26
1 1 1	2.881	22
2 1 0	2.263	21
2 2 0	1.789	19
1 0 2	2.191	19

Cell and atoms:
Lattice parameters (Å, degrees): 5.059 5.059 4.860 90.00 90.00 90.00
Space group P4/mmm (No. 123)
Symmetry-distinct sites (fractional):
Li 0.000 0.000 0.000 x1
Ti 0.500 0.500 0.000 x1
Cl 0.000 0.500 0.000 x2
Cl 0.500 0.500 0.500 x1

***

Record 5
GdO2: simulated XRD peak list (Cu Kα X-rays), based on a structure optimized by DFT (GGA-PBE).
Peak positions follow from Bragg's law for the DFT cell and can differ from measured ones.

Main lines, in order of falling intensity (2θ = 10–90°):
(hkl)	d/Å	intensity
0 1 1	3.150	100
1 0 -1	3.813	57
1 0 1	3.006	46
1 1 0	2.744	37
1 1 2	1.857	33
1 1 -1	2.666	30
2 1 -2	1.697	23
0 1 2	2.311	23
0 0 1	5.890	23
1 1 -3	1.742	21

Cell and atoms:
Lattice parameters (Å, degrees): 4.184 3.729 6.083 90.00 104.48 90.00
Space group P2_1/m (No. 11)
Symmetry-distinct sites (fractional):
Gd 0.181 0.250 0.298 x2
O 0.199 0.750 0.059 x2
O 0.261 0.750 0.543 x2